Calculated X-ray powder pattern
Compound: Zr4N2O5
Radiation: Cu Kα, 1.54184 Å
Structure: a structure optimized by DFT (PBE)
Intensities are scaled so that the largest is 100.

Largest 6 diffraction maxima, in order of rising 2θ, 2θ = 10–80°:
30.06 deg, I = 99; 30.17 deg, I = 100; 34.87 deg, I = 29; 50.05 deg, I = 27; 50.25 deg, I = 44; 59.66 deg, I = 19

Crystal structure
```
data_Zr4N2O5
_chemical_formula_sum 'Zr16 N8 O20'
_symmetry_space_group_name_H-M 'P 1'
_symmetry_Int_Tables_number 1
_symmetry_space_group_name_Hall 'P 1'
_cell_length_a 8.8746
_cell_length_b 8.8968
_cell_length_c 8.9061
_cell_angle_alpha 109.33
_cell_angle_beta 109.55
_cell_angle_gamma 109.25
loop_
_atom_site_label
_atom_site_fract_x
_atom_site_fract_y
_atom_site_fract_z
_atom_site_occupancy
Zr1 0.0000 0.0000 0.0000 1
Zr2 0.0064 0.7984 0.2773 1
Zr3 0.0199 0.5247 0.4976 1
Zr4 0.0429 0.2871 0.8206 1
Zr5 0.2325 0.0097 0.7762 1
Zr6 0.2643 0.3005 0.5760 1
Zr7 0.2925 0.5792 0.3014 1
Zr8 0.2956 0.8405 0.0750 1
Zr9 0.4998 0.7799 0.7714 1
Zr10 0.5066 0.0611 0.5630 1
Zr11 0.5317 0.5874 0.0720 1
Zr12 0.5500 0.2950 0.3130 1
Zr13 0.7490 0.5336 0.8025 1
Zr14 0.7648 0.7511 0.5267 1
Zr15 0.7817 0.0528 0.2648 1
Zr16 0.8022 0.2904 0.0316 1
N1 0.0069 0.7618 0.0169 1
N2 0.2733 0.5254 0.5132 1
N3 0.2950 0.0762 0.0627 1
N4 0.5083 0.5127 0.2806 1
N5 0.7620 0.2939 0.2588 1
N6 0.7788 0.8269 0.3100 1
N7 0.7897 0.2905 0.7767 1
N8 0.9865 0.0204 0.7579 1
O1 0.0092 0.7638 0.5186 1
O2 0.0118 0.2922 0.5663 1
O3 0.0272 0.5525 0.2648 1
O4 0.0500 0.0800 0.2873 1
O5 0.0661 0.2964 0.0752 1
O6 0.2344 0.7572 0.7823 1
O7 0.2468 0.0375 0.5421 1
O8 0.2580 0.5628 0.0254 1
O9 0.2824 0.8211 0.3058 1
O10 0.3020 0.2931 0.8315 1
O11 0.4838 0.2921 0.5264 1
O12 0.5074 0.0588 0.8117 1
O13 0.5083 0.5511 0.8074 1
O14 0.5247 0.8222 0.0406 1
O15 0.5464 0.8324 0.5490 1
O16 0.5675 0.0569 0.3407 1
O17 0.7301 0.5106 0.0393 1
O18 0.7361 0.7575 0.7631 1
O19 0.7730 0.0309 0.0121 1
O20 0.8057 0.5304 0.5766 1
```